K2PmCo2O6: computed X-ray diffraction stick pattern (Cu Kα (weighted mean of Kα1 and Kα2)), based on a PBE+U-relaxed structure.
Lines closer than 0.1° are merged.

Atomic structure:
Cell lengths 6.9275, 6.9275, 6.9275 Å; angles 52.66, 52.66, 52.66 degrees
Sites, in units of the cell vectors:
K 0.2127 0.2127 0.2127
K 0.7873 0.7873 0.7873
Pm 0.0000 0.0000 0.0000
Co 0.4291 0.4291 0.4291
Co 0.5709 0.5709 0.5709
O 0.2532 0.2532 0.7403
O 0.2532 0.7403 0.2532
O 0.2597 0.7468 0.7468
O 0.7403 0.2532 0.2532
O 0.7468 0.2597 0.7468
O 0.7468 0.7468 0.2597

The 12 most intense peaks (10 to 90 degrees two-theta), low angle first:
- d 4.571, I = 92
- d 3.419, I = 23
- d 3.072, I = 100
- d 2.965, I = 82
- d 2.300, I = 16
- d 2.285, I = 30
- d 2.134, I = 32
- d 1.962, I = 19
- d 1.774, I = 19
- d 1.752, I = 31
- d 1.666, I = 27
- d 1.536, I = 21